Diffraction record for NaCoP2HO7. The PXRD pattern is theoretical, not measured: it uses a structure optimized by DFT (GGA+U) and Cu Kα X-rays.
Neutral-atom scattering factors, no anomalous dispersion.

Crystal structure
```
data_NaCoP2HO7
_space_group_name_H-M_alt 'P 1'
_space_group_IT_number 1
_cell_length_a 7.3745
_cell_length_b 8.9304
_cell_length_c 9.4954
_cell_angle_alpha 73.90
_cell_angle_beta 70.46
_cell_angle_gamma 67.73
loop_
_space_group_symop_operation_xyz
'x,y,z'
loop_
_atom_site_label
_atom_site_fract_x
_atom_site_fract_y
_atom_site_fract_z
Na1 0.0000 0.0000 0.0000
Na2 0.0882 0.3867 0.2783
Na3 0.4616 0.5113 0.4275
Na4 0.5844 0.8824 0.7849
Co1 0.0292 0.8181 0.3724
Co2 0.0527 0.5654 0.9184
Co3 0.5322 0.3190 0.8738
Co4 0.5537 0.0731 0.4130
P1 0.2459 0.2749 0.7070
P2 0.2498 0.8499 0.6041
P3 0.3427 0.0298 0.1824
P4 0.3467 0.6090 0.0839
P5 0.7441 0.3499 0.1092
P6 0.7451 0.7730 0.2055
P7 0.8435 0.5294 0.6861
P8 0.8470 0.1038 0.5869
H1 0.2639 0.7694 0.8525
H2 0.3255 0.1109 0.9334
H3 0.7801 0.2693 0.3787
H4 0.8185 0.6089 0.4404
O1 0.0125 0.3512 0.6967
O2 0.0782 0.0290 0.5961
O3 0.1430 0.9984 0.2162
O4 0.1910 0.7626 0.7743
O5 0.2229 0.6237 0.2475
O6 0.2297 0.7548 0.5034
O7 0.2568 0.1109 0.8176
O8 0.2842 0.3966 0.7737
O9 0.2996 0.4855 0.0245
O10 0.3307 0.7718 0.9719
O11 0.3551 0.1299 0.2827
O12 0.3770 0.2591 0.5462
O13 0.4020 0.1159 0.0120
O14 0.4470 0.8843 0.5697
O15 0.5123 0.8516 0.1938
O16 0.5815 0.5331 0.0875
O17 0.6424 0.5002 0.7261
O18 0.6782 0.2747 0.2793
O19 0.7132 0.1298 0.7436
O20 0.7310 0.2512 0.0071
O21 0.7509 0.6112 0.3180
O22 0.7864 0.8968 0.2685
O23 0.8009 0.9849 0.5226
O24 0.8435 0.2662 0.4681
O25 0.8641 0.6320 0.7803
O26 0.8802 0.7543 0.0460
O27 0.8985 0.6141 0.5139
O28 0.9454 0.3813 0.0725
```

Largest 6 diffraction maxima, in order of rising 2θ, 10 to 90 degrees two-theta:
(hkl)  2θ (°)  I_rel
0 1 -1  16.05  81.4
1 2 -1  26.92  70.3
1 1 -2  28.96  72.7
2 0 2  29.35  74.2
-1 2 1  30.85  100.0
1 2 3  31.00  74.5

Diffraction record for NaCo3P3H2O12. The PXRD pattern is theoretical, not measured: it uses a structure optimized by DFT (GGA+U) and Cu Kα X-rays.
Neutral-atom scattering factors, no anomalous dispersion.

Crystal structure
```
data_NaCo3P3H2O12
_space_group_name_H-M_alt 'C 1 2/c 1'
_space_group_IT_number 15
_cell_length_a 11.9887
_cell_length_b 12.1928
_cell_length_c 6.6175
_cell_angle_alpha 90.00
_cell_angle_beta 114.32
_cell_angle_gamma 90.00
loop_
_space_group_symop_operation_xyz
'x,y,z'
'-x,-y,-z'
'-x,y,-z+1/2'
'x,-y,z+1/2'
'x+1/2,y+1/2,z'
'-x+1/2,-y+1/2,-z'
'-x+1/2,y+1/2,-z+1/2'
'x+1/2,-y+1/2,z+1/2'
loop_
_atom_site_label
_atom_site_fract_x
_atom_site_fract_y
_atom_site_fract_z
Na1 0.0000 0.0443 0.2500
Co1 0.0000 0.2758 0.7500
Co2 0.2116 0.1620 0.6255
P1 0.0000 0.3173 0.2500
P2 0.2174 0.1111 0.1111
H1 0.1180 0.4945 0.8098
O1 0.0356 0.2429 0.4605
O2 0.1081 0.3928 0.2682
O3 0.1419 0.4091 0.8435
O4 0.1542 0.9998 0.0974
O5 0.1552 0.1730 0.8878
O6 0.2144 0.1795 0.3039
```

Largest 6 diffraction maxima, in order of rising 2θ, 10 to 90 degrees two-theta:
(hkl)  2θ (°)  I_rel
0 2 0  14.53  100.0
1 1 -2  28.23  87.2
3 3 0  33.03  59.9
2 4 0  33.67  69.9
4 0 -2  34.02  42.1
3 1 -3  42.07  57.2

Diffraction record for NaCoP2HO7. The PXRD pattern is theoretical, not measured: it uses a structure optimized by DFT (GGA+U) and Cu Kα X-rays.
Neutral-atom scattering factors, no anomalous dispersion.

Crystal structure
```
data_NaCoP2HO7
_space_group_name_H-M_alt 'P -1'
_space_group_IT_number 2
_cell_length_a 6.5944
_cell_length_b 6.6057
_cell_length_c 6.7381
_cell_angle_alpha 84.43
_cell_angle_beta 67.02
_cell_angle_gamma 87.82
loop_
_space_group_symop_operation_xyz
'x,y,z'
'-x,-y,-z'
loop_
_atom_site_label
_atom_site_fract_x
_atom_site_fract_y
_atom_site_fract_z
Na1 0.1838 0.3341 0.2643
Co1 0.2187 0.8519 0.8848
P1 0.2364 0.3569 0.7837
P2 0.3381 0.8775 0.3630
H1 0.0736 0.7124 0.2974
O1 0.1140 0.4035 0.6318
O2 0.1337 0.1707 0.9487
O3 0.1704 0.8794 0.5933
O4 0.2277 0.7947 0.2164
O5 0.2630 0.5357 0.8978
O6 0.4520 0.0768 0.2509
O7 0.4813 0.2898 0.6278
```

Largest 6 diffraction maxima, in order of rising 2θ, 10 to 90 degrees two-theta:
(hkl)  2θ (°)  I_rel
1 0 1  16.00  49.2
1 -1 0  19.91  20.4
1 0 2  26.81  39.7
1 1 2  28.90  44.5
2 0 0  29.43  42.0
1 -2 0  30.93  100.0